Tb3Sm5Y3: calculated XRD peak list (λ = 1.5418 Å (Cu Kα)), based on a cell relaxed with GGA-PBE.
Kinematic intensities with the Lorentz-polarization factor, no thermal factor.

Largest 6 diffraction maxima, in order of rising 2θ, 2θ = 5–70°:
2θ = 29.17°, d = 3.062 Å, rel. 46
2θ = 30.47°, d = 2.934 Å, rel. 36
2θ = 31.39°, d = 2.850 Å, rel. 100
2θ = 32.06°, d = 2.792 Å, rel. 41
2θ = 34.53°, d = 2.597 Å, rel. 31
2θ = 34.65°, d = 2.589 Å, rel. 22

Lattice parameters (Å, degrees): 3.634 19.893 10.356 90.00 90.00 90.00
Space group Amm2 (No. 38)
Unique sites:
Tb (0.000, 0.000, 0.000) [2 per cell]
Tb (0.500, 0.226, 0.503) [4 per cell]
Sm (0.000, 0.159, 0.801) [4 per cell]
Sm (0.000, 0.162, 0.205) [4 per cell]
Sm (0.500, 0.000, 0.272) [2 per cell]
Y (0.000, 0.085, 0.503) [4 per cell]
Y (0.500, 0.000, 0.730) [2 per cell]